For Cs4RbCa3Br12, a PBE-relaxed structure gives the calculated PXRD pattern in this record (Cu Kα X-rays).
No peak broadening, texture or thermal motion is included.

Most intense lines, 2θ = 10–90°, in order of falling intensity:
25.96°, I = 100
30.06°, I = 91
43.03°, I = 65
50.94°, I = 44
70.89°, I = 28
21.13°, I = 26
53.38°, I = 22
78.88°, I = 20
68.84°, I = 17
84.72°, I = 13

Cell and atoms:
Cell lengths 11.8903, 11.8903, 11.8903 Å; angles 90.00, 90.00, 90.00 degrees
Space group Im-3m (No. 229)
Inequivalent atoms, fractional coordinates:
1 Cs 0.2500 0.2500 0.2500 (multiplicity 8)
2 Rb 0.0000 0.0000 0.0000 (multiplicity 2)
3 Ca 0.0000 0.0000 0.5000 (multiplicity 6)
4 Br 0.0000 0.0000 0.2673 (multiplicity 12)
5 Br 0.0000 0.2500 0.5000 (multiplicity 12)

For Cs2CaRhBr6, a PBE-relaxed structure gives the calculated PXRD pattern in this record (Cu Kα X-rays).
No peak broadening, texture or thermal motion is included.

Most intense lines, 2θ = 10–90°, in order of falling intensity:
27.97°, I = 100
32.20°, I = 77
46.64°, I = 52
32.81°, I = 36
22.83°, I = 29
54.86°, I = 29
46.18°, I = 27
57.80°, I = 27
85.91°, I = 17
13.88°, I = 15

Cell and atoms:
Cell lengths 7.8626, 7.8626, 10.9174 Å; angles 90.00, 90.00, 90.00 degrees
Space group I4/mmm (No. 139)
Inequivalent atoms, fractional coordinates:
1 Cs 0.0000 0.5000 0.2500 (multiplicity 4)
2 Ca 0.0000 0.0000 0.0000 (multiplicity 2)
3 Rh 0.0000 0.0000 0.5000 (multiplicity 2)
4 Br 0.0000 0.0000 0.2674 (multiplicity 4)
5 Br 0.2407 0.2407 0.5000 (multiplicity 8)

For Cs2CaRuBr6, a PBE-relaxed structure gives the calculated PXRD pattern in this record (Cu Kα X-rays).
No peak broadening, texture or thermal motion is included.

Most intense lines, 2θ = 10–90°, in order of falling intensity:
32.72°, I = 100
28.24°, I = 90
46.95°, I = 69
22.98°, I = 38
55.70°, I = 36
78.09°, I = 29
58.41°, I = 23
87.26°, I = 22
40.36°, I = 16
14.01°, I = 14

Cell and atoms:
Cell lengths 10.9467, 10.9467, 10.9467 Å; angles 90.00, 90.00, 90.00 degrees
Space group Fm-3m (No. 225)
Inequivalent atoms, fractional coordinates:
1 Cs 0.2500 0.2500 0.2500 (multiplicity 8)
2 Ca 0.0000 0.0000 0.0000 (multiplicity 4)
3 Ru 0.0000 0.0000 0.5000 (multiplicity 4)
4 Br 0.0000 0.0000 0.2643 (multiplicity 24)

For CsCaScBr6, a PBE-relaxed structure gives the calculated PXRD pattern in this record (Cu Kα X-rays).
No peak broadening, texture or thermal motion is included.

Most intense lines, 2θ = 10–90°, in order of falling intensity:
26.76°, I = 100
33.08°, I = 82
17.81°, I = 70
42.80°, I = 32
39.23°, I = 29
51.15°, I = 19
51.84°, I = 18
28.16°, I = 17
44.23°, I = 17
53.34°, I = 17

Cell and atoms:
Cell lengths 7.3195, 7.3195, 8.0509 Å; angles 90.00, 90.00, 120.00 degrees
Space group P312 (No. 149)
Inequivalent atoms, fractional coordinates:
1 Cs 0.0000 0.0000 0.0000 (multiplicity 1)
2 Ca 0.3333 0.6667 0.5000 (multiplicity 1)
3 Sc 0.6667 0.3333 0.5000 (multiplicity 1)
4 Br 0.3862 0.0237 0.6961 (multiplicity 6)